Entry 1:
Structure and simulated powder X-ray diffraction pattern of Bi9Rh2I3 (a DFT-relaxed cell (PBE, the Materials Project); CuKα).
Peak positions follow from Bragg's law for the DFT cell and can differ from measured ones.

Cell and atoms:
```
Bi9Rh2I3
1.0
8.150 0.000 0.000
0.000 13.897 0.000
-3.315 0.000 8.635
Bi Rh I
18 4 6
Cartesian
0.201 3.474 1.496
-1.571 7.474 7.029
-1.571 13.372 7.029
-1.467 3.474 7.288
0.233 8.825 3.225
0.233 12.021 3.225
1.938 10.423 0.982
1.994 0.455 1.273
1.994 6.494 1.273
2.840 7.403 7.362
2.840 13.443 7.362
2.896 3.474 7.653
4.601 1.876 5.410
4.601 5.073 5.410
6.302 10.423 1.347
6.405 0.525 1.606
6.405 6.423 1.606
4.633 10.423 7.139
0.004 8.344 0.474
0.004 12.502 0.474
4.830 1.396 8.161
4.830 5.553 8.161
0.738 1.369 4.954
0.738 5.579 4.954
0.759 10.423 6.794
4.075 3.474 1.841
4.097 8.318 3.681
4.097 12.528 3.681
```

Peak list (12 most intense, 10 to 80 degrees two-theta, in order of falling intensity)
| Position (°2θ) | Rel. int. |
| --- | --- |
| 31.73 | 100 |
| 30.40 | 96 |
| 33.94 | 94 |
| 10.24 | 68 |
| 27.66 | 65 |
| 11.63 | 60 |
| 28.25 | 48 |
| 12.45 | 48 |
| 44.65 | 47 |
| 40.71 | 46 |
| 29.56 | 37 |
| 25.04 | 32 |



Entry 2:
Structure and simulated powder X-ray diffraction pattern of Er2Al9Pd3 (a DFT-relaxed cell (PBE, the Materials Project); CuKα).
Peak positions follow from Bragg's law for the DFT cell and can differ from measured ones.

Cell and atoms:
```
Er2Al9Pd3
1.0
6.613 -3.840 0.000
6.613 3.840 0.000
0.000 0.000 9.447
Er Al Pd
4 18 6
Cartesian
4.463 2.551 7.085
8.764 2.551 7.085
4.463 -2.551 2.362
8.764 -2.551 2.362
2.213 1.282 5.451
2.213 1.282 8.720
11.014 -1.282 0.727
11.014 -1.282 3.997
6.613 2.867 2.362
6.613 1.280 5.297
6.613 1.280 8.874
2.213 -1.282 0.727
2.213 -1.282 3.997
5.228 0.448 2.362
5.228 -0.448 7.085
7.999 0.448 2.362
7.999 -0.448 7.085
11.014 1.282 5.451
11.014 1.282 8.720
6.613 -1.280 0.573
6.613 -1.280 4.150
6.613 -2.867 7.085
0.000 0.000 0.000
0.000 0.000 4.724
4.343 0.000 0.000
4.343 0.000 4.724
8.883 0.000 0.000
8.883 0.000 4.724
```

Peak list (12 most intense, 10 to 80 degrees two-theta, in order of falling intensity)
| Position (°2θ) | Rel. int. |
| --- | --- |
| 30.04 | 100 |
| 40.74 | 68 |
| 36.96 | 68 |
| 25.09 | 54 |
| 40.94 | 29 |
| 38.10 | 27 |
| 57.01 | 25 |
| 16.31 | 21 |
| 51.57 | 20 |
| 63.93 | 19 |
| 13.37 | 16 |
| 37.13 | 14 |